Diffraction record for K3Zr. The X-ray powder pattern is computed, not measured: it uses a DFT-relaxed cell (GGA-PBE, the Materials Project) and a wavelength of 1.5418 Å.
Neutral-atom scattering factors, no anomalous dispersion.

Structural model:
```
data_K3Zr
_symmetry_space_group_name_H-M 'P 1'
_symmetry_Int_Tables_number 1
_symmetry_space_group_name_Hall 'P 1'
_cell_length_a 5.945
_cell_length_b 5.945
_cell_length_c 5.945
_cell_angle_alpha 90.00
_cell_angle_beta 90.00
_cell_angle_gamma 90.00
loop_
_atom_site_label
_atom_site_type_symbol
_atom_site_fract_x
_atom_site_fract_y
_atom_site_fract_z
K1 K 0.000 0.000 0.500
K2 K 0.000 0.500 0.000
K3 K 0.500 0.000 0.000
Zr1 Zr 0.500 0.500 0.500
```

Top 6 peaks for 10° ≤ 2θ ≤ 90°, in order of rising 2θ:
2θ (°)	Rel. int.
14.9	154
26.0	1000
30.1	504
43.0	350
50.9	410
68.8	154

=====

Diffraction record for K3Zr. The X-ray powder pattern is computed, not measured: it uses a DFT-relaxed cell (GGA-PBE, the Materials Project) and a wavelength of 1.5418 Å.
Neutral-atom scattering factors, no anomalous dispersion.

Structural model:
```
data_K3Zr
_symmetry_space_group_name_H-M 'P 1'
_symmetry_Int_Tables_number 1
_symmetry_space_group_name_Hall 'P 1'
_cell_length_a 7.441
_cell_length_b 7.441
_cell_length_c 7.441
_cell_angle_alpha 134.32
_cell_angle_beta 134.32
_cell_angle_gamma 66.59
loop_
_atom_site_label
_atom_site_type_symbol
_atom_site_fract_x
_atom_site_fract_y
_atom_site_fract_z
K1 K 0.000 0.000 0.000
K2 K 0.250 0.750 0.500
K3 K 0.750 0.250 0.500
Zr1 Zr 0.500 0.500 0.000
```

Top 6 peaks for 10° ≤ 2θ ≤ 90°, in order of rising 2θ:
2θ (°)	Rel. int.
26.1	1000
28.7	194
31.0	314
42.7	242
52.2	257
68.5	159